Diffraction record for La8Pr3Sm3. The X-ray diffraction stick pattern is calculated, not measured: it uses DFT lattice parameters and positions (GGA-PBE) and a wavelength of 1.5418 Å.

Principal peaks in the range 2θ = 10–90°, by angle:
2θ (°)  d (Å)  I/Imax  (hkl)
28.1  3.180  13.0  1 2 3
28.7  3.113  27.0  1 1 4
29.6  3.016  21.8  0 3 3
30.8  2.901  100.0  2 0 0
32.5  2.754  29.4  1 0 5
43.2  2.092  15.5  2 3 3
49.2  1.850  7.5  0 6 0
54.8  1.676  13.0  3 3 2
59.2  1.561  8.6  2 6 0
60.3  1.536  9.7  1 6 5

Atomic structure:
```
data_La8Pr3Sm3
_chemical_formula_sum 'La16 Pr6 Sm6'
_symmetry_space_group_name_H-M 'I m m m'
_symmetry_Int_Tables_number 71
_symmetry_space_group_name_Hall '-I 2 2'
_cell_length_a 5.810
_cell_length_b 11.101
_cell_length_c 15.635
_cell_angle_alpha 90.00
_cell_angle_beta 90.00
_cell_angle_gamma 90.00
loop_
_atom_site_label
_atom_site_type_symbol
_atom_site_fract_x
_atom_site_fract_y
_atom_site_fract_z
_atom_site_occupancy
La1 La 0.000 0.157 0.229 1
La2 La 0.000 0.338 0.394 1
Pr1 Pr 0.000 0.000 0.000 1
Pr2 Pr 0.000 0.304 0.000 1
Sm1 Sm 0.000 0.000 0.500 1
Sm2 Sm 0.000 0.500 0.179 1
```